The following is a simulated powder XRD pattern of Mg4CuPt. It was derived from DFT lattice parameters and positions (PBE), using Cu Kα X-rays.
No peak broadening, texture or thermal motion is included.

Structure:
Cell: 6.463 6.463 5.336 Å, 90.00 90.00 90.00°
Space group I422 (No. 97)
Inequivalent atoms, fractional coordinates:
Mg1 0.170 0.330 0.250
Cu1 0.000 0.000 0.500
Pt1 0.000 0.000 0.000

Principal peaks in the range 2θ = 15–90°, by intensity:
h k l	Position (°2θ)	intensity
1 1 0	19.4	100.0
1 1 2	39.1	49.6
2 0 2	44.0	43.6
3 1 0	44.3	41.1
1 0 1	21.6	40.6
2 1 1	35.3	33.4
2 0 0	27.6	32.1
2 2 0	39.4	25.2